NpAgAu6: computed powder diffraction line list (Cu Kα, 1.54184 Å), based on a PBE-relaxed structure.
No peak broadening, texture or thermal motion is included.

Main lines, by angle (15° ≤ 2θ ≤ 90°):
- hkl 3 1 -1, 2θ = 36.87°, d 2.438, I 100.0
- hkl 0 2 0, 2θ = 38.49°, d 2.339, I 23.0
- hkl 2 0 2, 2θ = 39.17°, d 2.300, I 20.2
- hkl 4 0 -4, 2θ = 50.05°, d 1.822, I 10.4
- hkl 2 2 2, 2θ = 56.08°, d 1.640, I 14.4
- hkl 4 2 -4, 2θ = 64.86°, d 1.438, I 9.7
- hkl 6 0 -2, 2θ = 65.33°, d 1.428, I 8.7
- hkl 3 3 -1, 2θ = 68.56°, d 1.369, I 17.8
- hkl 5 1 1, 2θ = 69.47°, d 1.353, I 13.6
- hkl 6 2 -2, 2θ = 78.45°, d 1.219, I 10.5
- hkl 0 4 0, 2θ = 82.48°, d 1.170, I 2.7
- hkl 7 1 -5, 2θ = 85.17°, d 1.139, I 8.8

Structure:
a b c (Å): 8.620 4.678 8.619
angles (deg): 90.00 115.49 90.00
Space group C2/m (No. 12)
One atom of each set of equivalent atoms:
Np1 0.000 0.000 0.000
Ag1 0.000 0.500 0.500
Au1 0.110 0.500 0.856
Au2 0.136 0.000 0.391
Au3 0.245 0.000 0.760